The following is a computed powder diffraction line list of Mg6TiMn. It was derived from a structure optimized by DFT (GGA-PBE), using λ = 1.5418 Å (Cu Kα).
Lines closer than 0.1° are merged.

Main lines, low angle first (2θ from 10° to 90°):
two_theta, d_spacing, I_rel
16.13, 5.495, 11.9
16.53, 5.362, 30.8
33.42, 2.681, 41.2
36.96, 2.432, 44.0
37.60, 2.392, 72.7
38.34, 2.348, 100.0
50.68, 1.801, 23.7
58.69, 1.573, 16.4
67.03, 1.396, 11.8
67.52, 1.387, 16.9
71.41, 1.321, 20.2
73.25, 1.292, 17.5

```
Mg6TiMn
1.0
4.8638 0.0000 0.0000
0.0000 3.0712 5.4947
0.0000 -3.0712 5.4947
Mg Ti Mn
6 1 1
Cartesian
0.0000 0.0000 0.0000
0.0000 -1.4825 8.2817
0.0000 1.4825 8.2817
2.4319 0.0000 1.8120
2.4319 -1.4862 4.5725
2.4319 1.4862 4.5725
0.0000 0.0000 5.7192
2.4319 0.0000 7.0954
```

The following is a computed powder diffraction line list of Mg6TiMn. It was derived from a structure optimized by DFT (GGA-PBE), using λ = 1.5418 Å (Cu Kα).
Lines closer than 0.1° are merged.

Main lines, low angle first (2θ from 10° to 90°):
two_theta, d_spacing, I_rel
16.30, 5.437, 15.8
17.88, 4.961, 10.1
32.95, 2.718, 13.9
33.65, 2.663, 27.4
36.21, 2.481, 39.2
37.73, 2.384, 53.0
38.36, 2.347, 100.0
50.27, 1.815, 17.0
59.29, 1.559, 16.8
66.56, 1.405, 17.6
71.48, 1.320, 18.3
73.65, 1.286, 13.0

```
Mg6TiMn
1.0
4.9614 0.0000 0.0000
0.0000 3.0550 5.4369
0.0000 -3.0550 5.4369
Mg Ti Mn
6 1 1
Cartesian
0.0000 0.0000 0.0000
0.0000 -1.5214 2.8322
0.0000 0.0000 5.4211
0.0000 1.5214 2.8322
2.4807 -1.5369 6.4134
2.4807 1.5369 6.4134
2.4807 0.0000 9.1389
2.4807 0.0000 3.6641
```

The following is a computed powder diffraction line list of Mg14MnV. It was derived from a structure optimized by DFT (GGA-PBE), using λ = 1.5418 Å (Cu Kα).
Lines closer than 0.1° are merged.

Main lines, low angle first (2θ from 10° to 90°):
two_theta, d_spacing, I_rel
16.24, 5.457, 9.7
24.10, 3.693, 5.1
32.82, 2.729, 25.2
35.80, 2.508, 25.4
37.52, 2.397, 100.0
49.35, 1.847, 15.1
58.60, 1.575, 16.8
65.46, 1.426, 17.7
70.60, 1.334, 18.4
71.69, 1.316, 13.1
80.07, 1.198, 3.2
85.14, 1.140, 2.7

```
Mg14MnV
1.0
6.3012 0.0000 0.0000
-3.1506 5.4570 0.0000
0.0000 0.0000 10.0340
Mg Mn V
14 1 1
Cartesian
0.0000 0.0000 2.5069
0.0000 0.0000 7.5271
-1.5309 2.7542 2.5044
-1.5309 2.7542 7.5296
1.5829 0.9139 0.0000
1.5857 0.9155 5.0170
1.5309 2.7542 2.5044
1.5309 2.7542 7.5296
0.0000 5.4057 2.5044
0.0000 5.4057 7.5296
4.7155 0.9155 5.0170
3.1506 3.6260 5.0170
4.7183 0.9139 0.0000
3.1506 3.6293 0.0000
0.0000 3.6380 0.0000
0.0000 3.6380 5.0170
```

The following is a computed powder diffraction line list of Mg14MnV. It was derived from a structure optimized by DFT (GGA-PBE), using λ = 1.5418 Å (Cu Kα).
Lines closer than 0.1° are merged.

Main lines, low angle first (2θ from 10° to 90°):
two_theta, d_spacing, I_rel
32.80, 2.731, 25.1
32.96, 2.717, 12.6
35.80, 2.508, 37.2
37.50, 2.398, 100.0
37.65, 2.389, 49.0
49.33, 1.847, 14.9
58.45, 1.579, 8.5
58.76, 1.571, 16.6
65.45, 1.426, 17.0
70.47, 1.336, 9.1
70.75, 1.332, 17.9
71.64, 1.317, 13.1

```
Mg14MnV
1.0
10.0328 0.0000 0.0000
0.0000 3.1581 5.4344
0.0000 -3.1581 5.4344
Mg Mn V
14 1 1
Cartesian
0.0000 0.0000 10.8666
0.0000 -1.5782 2.7324
0.0000 0.0000 5.4344
0.0000 1.5782 2.7324
2.5486 0.0000 1.7887
2.5650 0.0000 7.2215
2.6207 -1.5788 4.5721
2.6207 1.5788 4.5721
5.0164 -1.5728 2.7383
5.0164 1.5728 2.7383
7.4122 -1.5788 4.5721
7.4122 1.5788 4.5721
7.4679 0.0000 7.2215
7.4842 0.0000 1.7887
5.0164 0.0000 5.4257
5.0164 0.0000 0.0060
```

The following is a computed powder diffraction line list of YMg6Mn. It was derived from a structure optimized by DFT (GGA-PBE), using λ = 1.5418 Å (Cu Kα).
Lines closer than 0.1° are merged.

Main lines, low angle first (2θ from 10° to 90°):
two_theta, d_spacing, I_rel
15.78, 5.615, 36.8
23.66, 3.760, 20.1
31.89, 2.806, 18.6
32.78, 2.732, 12.8
35.49, 2.529, 24.3
36.59, 2.456, 100.0
39.06, 2.306, 7.3
48.43, 1.879, 15.1
56.70, 1.624, 13.4
64.45, 1.446, 17.6
68.70, 1.366, 12.4
69.53, 1.352, 9.7

```
YMg6Mn
1.0
5.0589 0.0000 0.0000
0.0000 3.2366 5.6297
0.0000 -3.2366 5.6297
Y Mg Mn
1 6 1
Cartesian
0.0000 0.0000 0.0000
0.0000 -1.5516 2.7448
0.0000 1.5516 2.7448
0.0000 0.0000 5.5066
2.5294 -1.5864 4.5744
2.5294 1.5864 4.5744
2.5294 0.0000 7.4283
2.5294 0.0000 1.7929
```

The following is a computed powder diffraction line list of YMg6Mn. It was derived from a structure optimized by DFT (GGA-PBE), using λ = 1.5418 Å (Cu Kα).
Lines closer than 0.1° are merged.

Main lines, low angle first (2θ from 10° to 90°):
two_theta, d_spacing, I_rel
15.71, 5.641, 28.5
17.39, 5.099, 21.7
23.54, 3.779, 27.2
32.02, 2.795, 30.4
35.20, 2.549, 36.3
36.40, 2.468, 50.6
36.66, 2.451, 100.0
48.32, 1.883, 19.7
56.70, 1.624, 17.8
64.13, 1.452, 18.0
68.52, 1.369, 18.5
69.06, 1.360, 16.1

```
YMg6Mn
1.0
5.0989 0.0000 0.0000
0.0000 3.2180 5.6412
0.0000 -3.2180 5.6412
Y Mg Mn
1 6 1
Cartesian
0.0000 0.0000 0.0000
0.0000 -1.5789 2.8372
0.0000 1.5789 2.8372
2.5495 0.0000 1.9087
2.5495 -1.5253 4.7200
2.5495 1.5253 4.7200
2.5495 0.0000 7.4464
0.0000 0.0000 5.5993
```

The following is a computed powder diffraction line list of Mg14MnZn. It was derived from a structure optimized by DFT (GGA-PBE), using λ = 1.5418 Å (Cu Kα).
Lines closer than 0.1° are merged.

Main lines, low angle first (2θ from 10° to 90°):
two_theta, d_spacing, I_rel
16.35, 5.420, 14.2
24.03, 3.703, 9.5
33.05, 2.710, 25.6
33.65, 2.663, 4.4
35.40, 2.535, 26.2
37.63, 2.390, 100.0
47.89, 1.900, 3.8
49.21, 1.852, 15.9
59.03, 1.565, 16.6
65.03, 1.434, 18.4
70.75, 1.332, 18.5
72.15, 1.309, 13.2

```
Mg14MnZn
1.0
6.2590 0.0000 0.0000
-3.1295 5.4205 0.0000
0.0000 0.0000 10.1417
Mg Mn Zn
14 1 1
Cartesian
0.0000 0.0000 2.5344
0.0000 0.0000 7.6073
-1.5326 2.7288 2.5385
-1.5326 2.7288 7.6032
1.5576 0.8993 0.0000
1.5688 0.9058 5.0708
1.5326 2.7288 2.5385
1.5326 2.7288 7.6032
0.0000 5.3833 2.5385
0.0000 5.3833 7.6032
4.6902 0.9058 5.0708
3.1295 3.6089 5.0708
4.7015 0.8993 0.0000
3.1295 3.6220 0.0000
0.0000 3.6137 5.0708
0.0000 3.6137 0.0000
```

The following is a computed powder diffraction line list of Mg14MnZn. It was derived from a structure optimized by DFT (GGA-PBE), using λ = 1.5418 Å (Cu Kα).
Lines closer than 0.1° are merged.

Main lines, low angle first (2θ from 10° to 90°):
two_theta, d_spacing, I_rel
16.34, 5.426, 5.2
17.47, 5.075, 3.8
18.54, 4.785, 7.3
33.03, 2.712, 25.6
34.22, 2.620, 3.8
35.37, 2.538, 25.9
37.60, 2.392, 100.0
49.17, 1.853, 15.8
58.99, 1.566, 16.7
64.97, 1.435, 17.9
70.69, 1.333, 18.3
72.10, 1.310, 13.2

```
Mg14MnZn
1.0
10.1506 0.0000 0.0000
0.0000 3.1306 5.4258
0.0000 -3.1306 5.4258
Mg Mn Zn
14 1 1
Cartesian
0.0000 0.0000 0.0000
0.0000 -1.5635 2.7247
0.0000 0.0000 5.4239
0.0000 1.5635 2.7247
2.5766 0.0000 1.7951
2.5784 0.0000 7.2138
2.6427 -1.5605 4.5551
2.6427 1.5605 4.5551
5.0753 -1.5531 8.1313
5.0753 1.5531 8.1313
7.5079 -1.5605 4.5551
7.5079 1.5605 4.5551
7.5740 0.0000 1.7951
7.5722 0.0000 7.2138
5.0753 0.0000 5.4535
5.0753 0.0000 0.0013
```

Repeat the sixth record exactly.
The following is a computed powder diffraction line list of YMg6Mn. It was derived from a structure optimized by DFT (GGA-PBE), using λ = 1.5418 Å (Cu Kα).
Lines closer than 0.1° are merged.

Main lines, low angle first (2θ from 10° to 90°):
two_theta, d_spacing, I_rel
15.71, 5.641, 28.5
17.39, 5.099, 21.7
23.54, 3.779, 27.2
32.02, 2.795, 30.4
35.20, 2.549, 36.3
36.40, 2.468, 50.6
36.66, 2.451, 100.0
48.32, 1.883, 19.7
56.70, 1.624, 17.8
64.13, 1.452, 18.0
68.52, 1.369, 18.5
69.06, 1.360, 16.1

```
YMg6Mn
1.0
5.0989 0.0000 0.0000
0.0000 3.2180 5.6412
0.0000 -3.2180 5.6412
Y Mg Mn
1 6 1
Cartesian
0.0000 0.0000 0.0000
0.0000 -1.5789 2.8372
0.0000 1.5789 2.8372
2.5495 0.0000 1.9087
2.5495 -1.5253 4.7200
2.5495 1.5253 4.7200
2.5495 0.0000 7.4464
0.0000 0.0000 5.5993
```